# Pa5Mo2N12
Computed PXRD pattern, copper Kα. Input: a structure optimized by DFT (GGA-PBE).
Kinematic intensities with the Lorentz-polarization factor, no thermal factor.

Principal peaks in the range 15° ≤ 2θ ≤ 90°, by angle:
| 2θ (°) | intensity |
| --- | --- |
| 27.20 | 1000 |
| 28.25 | 998 |
| 30.20 | 303 |
| 33.00 | 311 |
| 33.13 | 307 |
| 45.37 | 392 |

Structure:
Lattice parameters (Å, degrees): 6.858 6.858 7.470 105.61 105.61 51.15
Positions (direct):
Pa  0.000  0.000  0.000
Pa  0.312  0.312  0.150
Pa  0.313  0.313  0.663
Pa  0.687  0.687  0.337
Pa  0.688  0.688  0.850
Mo  0.228  0.772  0.500
Mo  0.772  0.228  0.500
N  0.001  0.001  0.307
N  0.090  0.600  0.925
N  0.104  0.559  0.414
N  0.400  0.910  0.075
N  0.441  0.896  0.586
N  0.498  0.498  0.696
N  0.502  0.502  0.304
N  0.559  0.104  0.414
N  0.600  0.090  0.925
N  0.896  0.441  0.586
N  0.910  0.400  0.075
N  0.999  0.999  0.693


# La12Tb2Er5
Computed PXRD pattern, copper Kα. Input: a structure optimized by DFT (GGA-PBE).
Kinematic intensities with the Lorentz-polarization factor, no thermal factor.

Principal peaks in the range 15° ≤ 2θ ≤ 90°, by angle:
| 2θ (°) | intensity |
| --- | --- |
| 26.48 | 159 |
| 30.16 | 186 |
| 30.37 | 405 |
| 31.07 | 1000 |
| 31.92 | 405 |
| 34.26 | 177 |

Structure:
Lattice parameters (Å, degrees): 8.885 8.885 9.566 110.19 110.19 82.99
Positions (direct):
La  0.021  0.547  0.685
La  0.061  0.061  0.278
La  0.138  0.655  0.095
La  0.345  0.862  0.905
La  0.404  0.404  0.582
La  0.453  0.979  0.315
La  0.547  0.021  0.685
La  0.596  0.596  0.418
La  0.655  0.138  0.095
La  0.862  0.345  0.905
La  0.939  0.939  0.722
La  0.979  0.453  0.315
Tb  0.215  0.785  0.500
Tb  0.785  0.215  0.500
Er  0.196  0.196  0.731
Er  0.281  0.281  0.136
Er  0.500  0.500  0.000
Er  0.719  0.719  0.864
Er  0.804  0.804  0.269


# Ti3MoPd2
Computed PXRD pattern, copper Kα. Input: a structure optimized by DFT (GGA-PBE).
Kinematic intensities with the Lorentz-polarization factor, no thermal factor.

Principal peaks in the range 15° ≤ 2θ ≤ 90°, by angle:
| 2θ (°) | intensity |
| --- | --- |
| 28.11 | 191 |
| 40.18 | 511 |
| 40.47 | 1000 |
| 58.13 | 164 |
| 73.22 | 319 |
| 73.80 | 155 |

Structure:
Lattice parameters (Å, degrees): 7.093 7.093 6.262 90.00 90.00 143.08
Positions (direct):
Ti  0.000  0.000  0.246
Ti  0.000  0.000  0.754
Ti  0.330  0.670  0.242
Ti  0.330  0.670  0.758
Ti  0.670  0.330  0.242
Ti  0.670  0.330  0.758
Mo  0.164  0.836  0.000
Mo  0.836  0.164  0.000
Pd  0.165  0.835  0.500
Pd  0.500  0.500  0.000
Pd  0.500  0.500  0.500
Pd  0.835  0.165  0.500


# TlFeNi2W
Computed PXRD pattern, copper Kα. Input: a structure optimized by DFT (GGA-PBE).
Kinematic intensities with the Lorentz-polarization factor, no thermal factor.

Principal peaks in the range 15° ≤ 2θ ≤ 90°, by angle:
| 2θ (°) | intensity |
| --- | --- |
| 29.52 | 366 |
| 35.12 | 1000 |
| 37.74 | 327 |
| 42.23 | 477 |
| 57.91 | 371 |
| 72.61 | 243 |

Structure:
Lattice parameters (Å, degrees): 4.280 4.280 4.767 90.00 90.00 90.00
Positions (direct):
Tl  0.000  0.000  0.000
Fe  0.000  0.000  0.500
Ni  0.000  0.500  0.500
Ni  0.500  0.000  0.500
W  0.500  0.500  0.000


# Nd3Zn2Ge3
Computed PXRD pattern, copper Kα. Input: a structure optimized by DFT (GGA-PBE).
Kinematic intensities with the Lorentz-polarization factor, no thermal factor.

Principal peaks in the range 15° ≤ 2θ ≤ 90°, by angle:
| 2θ (°) | intensity |
| --- | --- |
| 31.92 | 503 |
| 32.25 | 1000 |
| 32.45 | 485 |
| 39.72 | 562 |
| 42.46 | 470 |
| 43.56 | 622 |

Structure:
Lattice parameters (Å, degrees): 5.980 5.980 15.499 90.00 90.00 138.29
Positions (direct):
Nd  0.062  0.938  0.750
Nd  0.359  0.641  0.596
Nd  0.359  0.641  0.904
Nd  0.641  0.359  0.096
Nd  0.641  0.359  0.404
Nd  0.938  0.062  0.250
Zn  0.351  0.649  0.121
Zn  0.351  0.649  0.379
Zn  0.649  0.351  0.621
Zn  0.649  0.351  0.879
Ge  0.082  0.918  0.554
Ge  0.082  0.918  0.946
Ge  0.209  0.791  0.250
Ge  0.791  0.209  0.750
Ge  0.918  0.082  0.054
Ge  0.918  0.082  0.446


# KSnTeO5
Computed PXRD pattern, copper Kα. Input: a structure optimized by DFT (GGA-PBE).
Kinematic intensities with the Lorentz-polarization factor, no thermal factor.

Principal peaks in the range 15° ≤ 2θ ≤ 90°, by angle:
| 2θ (°) | intensity |
| --- | --- |
| 16.61 | 463 |
| 25.10 | 930 |
| 26.02 | 877 |
| 29.75 | 1000 |
| 31.10 | 675 |
| 48.29 | 339 |

Structure:
Lattice parameters (Å, degrees): 6.246 6.246 7.647 103.65 103.65 106.71
Positions (direct):
K  0.172  0.828  0.750
K  0.828  0.172  0.250
Sn  0.500  0.500  0.000
Sn  0.500  0.500  0.500
Te  0.187  0.813  0.250
Te  0.813  0.187  0.750
O  0.129  0.270  0.923
O  0.203  0.600  0.395
O  0.270  0.129  0.423
O  0.400  0.797  0.105
O  0.436  0.564  0.750
O  0.564  0.436  0.250
O  0.600  0.203  0.895
O  0.730  0.871  0.577
O  0.797  0.400  0.605
O  0.871  0.730  0.077


> Number 2 is which compound?

La12Tb2Er5


> What is the formula in the fifth record?

Nd3Zn2Ge3